(1)
Structure and calculated powder diffraction line list of CsAl (a cell relaxed with GGA-PBE; λ = 1.5418 Å (Cu Kα)).

Peak list (8 most intense, 10° ≤ 2θ ≤ 90°, low angle first)
2theta, I (rel.)
19.61, 58
21.39, 75
22.33, 94
22.98, 60
25.13, 55
27.20, 100
37.67, 49
37.94, 58

```
CsAl
1.0
10.658 0.000 0.000
0.000 4.746 0.000
0.000 0.000 8.584
Cs Al
4 4
direct
0.184 0.250 0.152
0.316 0.750 0.652
0.684 0.250 0.348
0.816 0.750 0.848
0.013 0.250 0.556
0.487 0.750 0.056
0.513 0.250 0.944
0.987 0.750 0.444
```


(2)
Structure and calculated powder diffraction line list of BiClF8 (a cell relaxed with GGA-PBE; λ = 1.5418 Å (Cu Kα)).

Peak list (8 most intense, 10° ≤ 2θ ≤ 90°, low angle first)
2theta, I (rel.)
15.00, 63
16.48, 100
21.61, 63
22.19, 48
22.51, 48
22.63, 49
23.09, 42
24.14, 42

```
BiClF8
1.0
5.400 0.000 0.000
-0.384 5.908 0.000
-0.678 -0.153 10.757
Bi Cl F
2 2 16
direct
0.000 0.000 0.000
0.000 0.000 0.500
0.410 0.385 0.249
0.590 0.615 0.751
0.111 0.720 0.416
0.138 0.207 0.357
0.151 0.815 0.139
0.184 0.300 0.078
0.291 0.951 0.895
0.327 0.037 0.603
0.402 0.478 0.841
0.425 0.547 0.624
0.575 0.453 0.376
0.598 0.522 0.159
0.673 0.963 0.397
0.709 0.049 0.105
0.816 0.700 0.922
0.849 0.185 0.861
0.862 0.793 0.643
0.889 0.280 0.584
```


(3)
Structure and calculated powder diffraction line list of Li2MgIr (a cell relaxed with GGA-PBE; λ = 1.5418 Å (Cu Kα)).

Peak list (8 most intense, 10° ≤ 2θ ≤ 90°, low angle first)
2theta, I (rel.)
24.81, 100
28.73, 41
41.08, 60
48.59, 50
65.46, 21
67.39, 15
74.84, 20
80.26, 16

```
Li2MgIr
1.0
6.215 0.000 0.000
0.000 6.215 0.000
0.000 0.000 6.215
Li Mg Ir
8 4 4
direct
0.000 0.000 0.000
0.000 0.000 0.500
0.000 0.500 0.000
0.229 0.229 0.771
0.229 0.771 0.229
0.500 0.000 0.000
0.771 0.229 0.229
0.771 0.771 0.771
0.000 0.500 0.500
0.500 0.000 0.500
0.500 0.500 0.000
0.500 0.500 0.500
0.247 0.247 0.247
0.247 0.753 0.753
0.753 0.247 0.753
0.753 0.753 0.247
```


(4)
Structure and calculated powder diffraction line list of Ga3B (a cell relaxed with GGA-PBE; λ = 1.5418 Å (Cu Kα)).

Peak list (8 most intense, 10° ≤ 2θ ≤ 90°, low angle first)
2theta, I (rel.)
22.45, 26
31.96, 22
39.41, 100
45.83, 48
51.61, 11
66.82, 30
80.43, 35
84.81, 10

```
Ga3B
1.0
3.960 0.000 0.000
0.000 3.960 0.000
0.000 0.000 3.960
Ga B
3 1
direct
0.000 0.000 0.500
0.000 0.500 0.000
0.500 0.000 0.000
0.500 0.500 0.500
```


(5)
Structure and calculated powder diffraction line list of YAlCo4 (a cell relaxed with GGA-PBE; λ = 1.5418 Å (Cu Kα)).

Peak list (8 most intense, 10° ≤ 2θ ≤ 90°, low angle first)
2theta, I (rel.)
30.86, 53
35.58, 20
41.32, 52
42.78, 100
46.94, 29
47.80, 25
64.29, 26
68.87, 23

```
YAlCo4
1.0
5.046 0.000 0.000
-2.523 4.370 0.000
0.000 0.000 3.871
Y Al Co
1 1 4
direct
0.000 0.000 0.000
0.333 0.667 0.000
0.503 0.007 0.500
0.503 0.497 0.500
0.667 0.333 0.000
0.993 0.497 0.500
```


(6)
Structure and calculated powder diffraction line list of TmAsS (a cell relaxed with GGA-PBE; λ = 1.5418 Å (Cu Kα)).

Peak list (8 most intense, 10° ≤ 2θ ≤ 90°, low angle first)
2theta, I (rel.)
25.75, 100
31.90, 38
33.39, 20
35.10, 49
39.84, 82
39.97, 33
48.01, 19
49.54, 19

```
TmAsS
1.0
16.831 0.000 0.000
0.000 3.790 0.000
0.000 0.000 3.801
Tm As S
4 4 4
direct
0.146 0.250 0.221
0.354 0.750 0.721
0.646 0.250 0.279
0.854 0.750 0.779
0.001 0.250 0.724
0.499 0.750 0.224
0.501 0.250 0.776
0.999 0.750 0.276
0.187 0.750 0.720
0.313 0.250 0.220
0.687 0.750 0.780
0.813 0.250 0.280
```


(7)
Structure and calculated powder diffraction line list of Li3YF6 (a cell relaxed with GGA-PBE; λ = 1.5418 Å (Cu Kα)).

Peak list (8 most intense, 10° ≤ 2θ ≤ 90°, low angle first)
2theta, I (rel.)
18.53, 70
21.42, 100
30.48, 22
35.91, 49
43.65, 43
47.79, 26
49.12, 37
63.43, 24

```
Li3YF6
1.0
0.000 4.148 4.148
4.148 0.000 4.148
4.148 4.148 0.000
Li Y F
3 1 6
direct
0.000 0.000 0.000
0.250 0.250 0.250
0.750 0.750 0.750
0.500 0.500 0.500
0.240 0.240 0.760
0.240 0.760 0.240
0.240 0.760 0.760
0.760 0.240 0.240
0.760 0.240 0.760
0.760 0.760 0.240
```